Starting from a DFT-relaxed cell (GGA-PBE, Alexandria), the powder X-ray diffraction pattern of Na2HgPtPb was calculated for Cu Kα, 1.54184 Å.
Lines closer than 0.1° are merged.

Atomic structure:
```
data_Na2HgPtPb
_symmetry_space_group_name_H-M 'P 1'
_symmetry_Int_Tables_number 1
_cell_length_a 5.516
_cell_length_b 5.516
_cell_length_c 5.179
_cell_angle_alpha 90.00
_cell_angle_beta 90.00
_cell_angle_gamma 90.00
loop_
_symmetry_equiv_pos_as_xyz
'x,y,z'
loop_
_atom_site_label
_atom_site_type_symbol
_atom_site_fract_x
_atom_site_fract_y
_atom_site_fract_z
_atom_site_occupancy
Na1 Na 0.000 0.500 0.000 1
Na2 Na 0.500 0.000 0.000 1
Hg1 Hg 0.000 0.000 0.500 1
Pt1 Pt 0.500 0.500 0.000 1
Pb1 Pb 0.500 0.500 0.500 1
```

Principal peaks in the range 10° ≤ 2θ ≤ 80°, in order of rising 2θ:
hkl 1 0 0, 5.516 Å, 16.07°, I = 29
hkl 1 1 0, 3.901 Å, 22.80°, I = 100
hkl 1 0 1, 3.776 Å, 23.56°, I = 22
hkl 1 1 1, 3.116 Å, 28.65°, I = 27
hkl 2 0 0, 2.758 Å, 32.46°, I = 58
hkl 0 0 2, 2.590 Å, 34.64°, I = 25
hkl 1 1 2, 2.157 Å, 41.87°, I = 43
hkl 2 0 2, 1.888 Å, 48.20°, I = 39
hkl 3 1 0, 1.744 Å, 52.45°, I = 22
hkl 3 1 2, 1.447 Å, 64.40°, I = 25